1.
Theoretical PXRD pattern
Compound: U4Be2C5
Radiation: CuKα
Structure: the GGA-PBE geometry in the Materials Project

Most intense lines, 2θ = 10–90°, by angle:
- 25.95°, I 81, (1 1 -1)
- 26.49°, I 70, (1 1 1)
- 34.66°, I 60, (1 3 -1)
- 35.08°, I 62, (1 3 1)
- 35.58°, I 100, (2 0 0)
- 48.69°, I 75, (2 4 0)

Structural model:
```
data_U4Be2C5
_space_group_name_H-M_alt 'C 1 2/m 1'
_space_group_IT_number 12
_cell_length_a 5.050
_cell_length_b 11.140
_cell_length_c 5.045
_cell_angle_alpha 90.00
_cell_angle_beta 91.27
_cell_angle_gamma 90.00
loop_
_space_group_symop_operation_xyz
'x,y,z'
'-x,-y,-z'
'-x,y,-z'
'x,-y,z'
'x+1/2,y+1/2,z'
'-x+1/2,-y+1/2,-z'
'-x+1/2,y+1/2,-z'
'x+1/2,-y+1/2,z'
loop_
_atom_site_label
_atom_site_type_symbol
_atom_site_fract_x
_atom_site_fract_y
_atom_site_fract_z
U1 U 0.247 0.135 0.247
Be1 Be 0.243 0.000 0.755
C1 C 0.000 0.000 0.000
C2 C 0.234 0.337 0.269
```

***

2.
Theoretical PXRD pattern
Compound: Li2In2SiSe6
Radiation: CuKα
Structure: the GGA-PBE geometry in the Materials Project

Most intense lines, 2θ = 10–90°, by angle:
- 13.84°, I 96, (1 1 0)
- 27.91°, I 64, (0 2 2)
- 28.15°, I 100, (4 0 -2)
- 29.18°, I 70, (2 2 -2)
- 44.43°, I 64, (3 3 -3)
- 44.79°, I 59, (6 0 -4)

Structural model:
```
data_Li2In2SiSe6
_space_group_name_H-M_alt 'C 1 c 1'
_space_group_IT_number 9
_cell_length_a 12.870
_cell_length_b 7.534
_cell_length_c 12.804
_cell_angle_alpha 90.00
_cell_angle_beta 109.65
_cell_angle_gamma 90.00
loop_
_space_group_symop_operation_xyz
'x,y,z'
'x,-y,z+1/2'
'x+1/2,y+1/2,z'
'x+1/2,-y+1/2,z+1/2'
loop_
_atom_site_label
_atom_site_type_symbol
_atom_site_fract_x
_atom_site_fract_y
_atom_site_fract_z
Li1 Li 0.000 0.100 0.000
Li2 Li 0.291 0.189 0.842
In1 In 0.157 0.433 0.492
In2 In 0.480 0.094 0.189
Si1 Si 0.226 0.269 0.247
Se1 Se 0.038 0.253 0.197
Se2 Se 0.104 0.268 0.879
Se3 Se 0.272 0.022 0.168
Se4 Se 0.296 0.482 0.697
Se5 Se 0.301 0.238 0.436
Se6 Se 0.484 0.244 0.005
```